Simulated PXRD pattern
Compound: NdPu4S5
Radiation: copper Kα
Structure: the PBE geometry in Alexandria

Largest 10 diffraction maxima, sorted by position, 10° ≤ 2θ ≤ 90°:
| Position (°2θ) | intensity |
| --- | --- |
| 27.5 | 100 |
| 31.8 | 98 |
| 45.6 | 72 |
| 54.1 | 25 |
| 54.1 | 25 |
| 56.7 | 25 |
| 73.4 | 16 |
| 75.6 | 11 |
| 75.7 | 17 |
| 84.4 | 17 |

Structure:
Cell lengths 6.8862, 6.8862, 9.7359 Å; angles 118.03, 118.03, 33.52 degrees
Sites, in units of the cell vectors:
Nd 0.0000 0.0000 0.0000
Pu 0.2018 0.2018 0.7992
Pu 0.4003 0.4003 0.5986
Pu 0.5997 0.5997 0.4014
Pu 0.7982 0.7982 0.2008
S 0.0000 0.0000 0.5000
S 0.2008 0.2008 0.3049
S 0.3948 0.3948 0.1022
S 0.6052 0.6052 0.8978
S 0.7992 0.7992 0.6951